No. 1
Structure and computed powder X-ray diffraction pattern of CrCuO2 (a cell relaxed with GGA+U; Cu Kα (λ = 1.5418 Å)).
Intensities are scaled so that the largest is 100.

a = 3.0581 Å, b = 3.0581 Å, c = 17.1366 Å
α = 90.00°, β = 90.00°, γ = 120.00°
Space group R-3m (No. 166, hexagonal axes)
Asymmetric unit:
Cr  0.0000  0.0000  0.0000 [3 per cell]
Cu  0.0000  0.0000  0.5000 [3 per cell]
O  0.0000  0.0000  0.3919 [6 per cell]

Peak list (12 most intense, 2θ = 5–70°, low angle first)
31.32°, I 29.4
34.26°, I 11.2
35.48°, I 100.0
40.02°, I 36.5
43.17°, I 0.7
47.77°, I 1.8
50.79°, I 0.7
55.15°, I 30.4
60.55°, I 25.1
64.80°, I 18.9
65.35°, I 3.8
69.76°, I 15.9

No. 2
Structure and computed powder X-ray diffraction pattern of Mn2V3P6WO24 (a cell relaxed with GGA+U; Cu Kα (λ = 1.5418 Å)).
Intensities are scaled so that the largest is 100.

a = 8.7232 Å, b = 8.7232 Å, c = 21.3948 Å
α = 90.00°, β = 90.00°, γ = 120.00°
Space group R3 (No. 146, hexagonal axes)
Asymmetric unit:
Mn  0.0000  0.0000  0.0000 [3 per cell]
Mn  0.0000  0.0000  0.4954 [3 per cell]
V  0.0000  0.0000  0.1396 [3 per cell]
V  0.0000  0.0000  0.3519 [3 per cell]
V  0.0000  0.0000  0.6385 [3 per cell]
P  0.0046  0.7118  0.2451 [9 per cell]
P  0.0389  0.3714  0.4101 [9 per cell]
W  0.0000  0.0000  0.8516 [3 per cell]
O  0.0006  0.8035  0.1852 [9 per cell]
O  0.0026  0.1954  0.8049 [9 per cell]
O  0.0162  0.8334  0.9145 [9 per cell]
O  0.0220  0.1873  0.4182 [9 per cell]
O  0.1393  0.4716  0.3527 [9 per cell]
O  0.1389  0.6735  0.9716 [9 per cell]
O  0.1656  0.6829  0.2407 [9 per cell]
O  0.1668  0.4807  0.7406 [9 per cell]

Peak list (12 most intense, 2θ = 5–70°, low angle first)
12.42°, I 34.1
14.35°, I 17.1
20.36°, I 100.0
23.91°, I 79.3
28.94°, I 15.6
31.60°, I 21.6
32.43°, I 62.7
35.65°, I 42.8
46.53°, I 25.8
48.96°, I 24.4
55.75°, I 37.0
62.00°, I 24.1

No. 3
Structure and computed powder X-ray diffraction pattern of BaNdEuWO6 (a cell relaxed with GGA+U; Cu Kα (λ = 1.5418 Å)).
Intensities are scaled so that the largest is 100.

a = 6.029 Å, b = 6.053 Å, c = 8.598 Å
α = 90.01°, β = 90.39°, γ = 90.65°
Space group P-1 (No. 2)
Asymmetric unit:
Ba  0.006  0.030  0.249 [2 per cell]
Nd  0.000  0.500  0.500 [1 per cell]
Nd  0.500  0.000  0.000 [1 per cell]
Eu  0.495  0.537  0.252 [2 per cell]
W  0.000  0.500  0.000 [1 per cell]
W  0.500  0.000  0.500 [1 per cell]
O  0.092  0.505  0.769 [2 per cell]
O  0.196  0.760  0.043 [2 per cell]
O  0.239  0.806  0.468 [2 per cell]
O  0.270  0.309  0.045 [2 per cell]
O  0.313  0.278  0.454 [2 per cell]
O  0.435  0.034  0.733 [2 per cell]

Peak list (12 most intense, 2θ = 5–70°, low angle first)
29.32°, I 34.5
29.49°, I 100.0
29.64°, I 65.7
42.05°, I 34.2
42.57°, I 15.9
52.14°, I 21.2
52.20°, I 20.9
52.47°, I 27.9
61.17°, I 9.9
61.53°, I 9.9
69.03°, I 9.0
69.30°, I 8.4

No. 4
Structure and computed powder X-ray diffraction pattern of MgFe6Sb10I6O18 (a cell relaxed with GGA+U; Cu Kα (λ = 1.5418 Å)).
Intensities are scaled so that the largest is 100.

a = 7.919 Å, b = 9.357 Å, c = 12.443 Å
α = 81.12°, β = 85.02°, γ = 73.99°
Space group P-1 (No. 2)
Asymmetric unit:
Mg  0.000  0.000  0.000 [1 per cell]
Fe  0.122  0.087  0.557 [2 per cell]
Fe  0.272  0.975  0.828 [2 per cell]
Fe  0.465  0.049  0.376 [2 per cell]
Sb  0.047  0.189  0.237 [2 per cell]
Sb  0.275  0.816  0.249 [2 per cell]
Sb  0.285  0.738  0.526 [2 per cell]
Sb  0.290  0.314  0.702 [2 per cell]
Sb  0.399  0.188  0.003 [2 per cell]
I  0.025  0.681  0.085 [2 per cell]
I  0.223  0.344  0.433 [2 per cell]
I  0.401  0.676  0.796 [2 per cell]
O  0.014  0.965  0.840 [2 per cell]
O  0.056  0.873  0.609 [2 per cell]
O  0.124  0.804  0.398 [2 per cell]
O  0.287  0.030  0.271 [2 per cell]
O  0.289  0.103  0.685 [2 per cell]
O  0.349  0.975  0.978 [2 per cell]
O  0.357  0.932  0.516 [2 per cell]
O  0.438  0.223  0.837 [2 per cell]
O  0.460  0.715  0.364 [2 per cell]

Peak list (12 most intense, 2θ = 5–70°, low angle first)
9.93°, I 48.1
19.93°, I 66.1
24.84°, I 52.9
27.07°, I 85.2
28.74°, I 46.1
28.96°, I 67.4
29.45°, I 32.8
29.94°, I 100.0
33.10°, I 39.8
35.29°, I 43.2
35.78°, I 72.7
38.52°, I 27.3